# AcEr2TmTl4
Calculated X-ray diffraction stick pattern, copper Kα. Input: a crystal structure in Alexandria, relaxed with PBE.
Lines closer than 0.1° are merged.

Crystal structure
Cell: 9.574 9.574 9.574 Å, 33.08 33.08 33.08°
Sites, in units of the cell vectors:
Ac  0.000  0.000  0.000
Er  0.248  0.248  0.248
Er  0.752  0.752  0.752
Tm  0.500  0.500  0.500
Tl  0.129  0.129  0.129
Tl  0.381  0.381  0.381
Tl  0.619  0.619  0.619
Tl  0.871  0.871  0.871

Most intense lines, 2θ from 10° to 90°, most intense first:
2θ 32.86, d 2.726, I 100
2θ 32.51, d 2.754, I 99
2θ 58.45, d 1.579, I 38
2θ 46.90, d 1.937, I 36
2θ 58.67, d 1.574, I 20
2θ 57.78, d 1.596, I 17
2θ 78.27, d 1.221, I 17
2θ 77.69, d 1.229, I 15
2θ 68.90, d 1.363, I 12
2θ 68.09, d 1.377, I 11